# 1
Theoretical XRD peak list
Compound: Na6MgTl8
Radiation: copper Kα
Structure: a cell relaxed with PBE
Intensities are scaled so that the largest is 100.

Main lines, sorted by position (2θ = 10–80°):
| 2θ (°) | intensity |
| --- | --- |
| 15.7 | 41 |
| 21.7 | 39 |
| 21.9 | 20 |
| 32.6 | 100 |
| 33.1 | 95 |
| 33.3 | 49 |
| 33.5 | 46 |
| 58.4 | 27 |

Atomic structure:
abc: 5.387 8.443 9.911
angles: 78.02 74.40 88.56
Fractional positions:
Na: 0.033 0.331 0.436
Na: 0.306 0.999 0.889
Na: 0.362 0.641 0.776
Na: 0.638 0.359 0.224
Na: 0.694 0.001 0.111
Na: 0.967 0.669 0.564
Mg: 0.500 0.000 0.500
Tl: 0.092 0.001 0.310
Tl: 0.165 0.670 0.167
Tl: 0.233 0.320 0.038
Tl: 0.437 0.322 0.626
Tl: 0.563 0.678 0.374
Tl: 0.767 0.680 0.962
Tl: 0.835 0.330 0.833
Tl: 0.908 0.999 0.690


# 2
Theoretical XRD peak list
Compound: Hf5Ir3
Radiation: copper Kα
Structure: a cell relaxed with PBE
Intensities are scaled so that the largest is 100.

Main lines, sorted by position (2θ = 10–80°):
| 2θ (°) | intensity |
| --- | --- |
| 31.6 | 13 |
| 34.3 | 16 |
| 34.7 | 24 |
| 36.3 | 13 |
| 38.2 | 100 |
| 39.1 | 53 |
| 39.5 | 26 |
| 60.7 | 15 |

Atomic structure:
abc: 7.905 7.905 16.985
angles: 90.00 90.00 120.00
Fractional positions:
Hf: 0.000 0.249 0.333
Hf: 0.000 0.751 0.833
Hf: 0.010 0.237 0.992
Hf: 0.010 0.773 0.174
Hf: 0.227 0.237 0.508
Hf: 0.227 0.990 0.659
Hf: 0.237 0.010 0.341
Hf: 0.237 0.227 0.826
Hf: 0.241 0.621 0.583
Hf: 0.249 0.000 0.000
Hf: 0.249 0.249 0.167
Hf: 0.312 0.656 0.083
Hf: 0.344 0.656 0.417
Hf: 0.344 0.688 0.750
Hf: 0.379 0.621 0.917
Hf: 0.379 0.759 0.250
Hf: 0.621 0.241 0.750
Hf: 0.621 0.379 0.417
Hf: 0.656 0.312 0.250
Hf: 0.656 0.344 0.917
Hf: 0.688 0.344 0.583
Hf: 0.751 0.000 0.500
Hf: 0.751 0.751 0.667
Hf: 0.759 0.379 0.083
Hf: 0.763 0.773 0.326
Hf: 0.763 0.990 0.841
Hf: 0.773 0.010 0.159
Hf: 0.773 0.763 0.008
Hf: 0.990 0.227 0.674
Hf: 0.990 0.763 0.492
Ir: 0.000 0.379 0.833
Ir: 0.000 0.621 0.333
Ir: 0.027 0.418 0.191
Ir: 0.027 0.608 0.976
Ir: 0.379 0.000 0.500
Ir: 0.379 0.379 0.667
Ir: 0.392 0.418 0.309
Ir: 0.392 0.973 0.857
Ir: 0.418 0.027 0.143
Ir: 0.418 0.392 0.024
Ir: 0.582 0.608 0.524
Ir: 0.582 0.973 0.643
Ir: 0.608 0.027 0.357
Ir: 0.608 0.582 0.809
Ir: 0.621 0.000 0.000
Ir: 0.621 0.621 0.167
Ir: 0.973 0.392 0.476
Ir: 0.973 0.582 0.691


# 3
Theoretical XRD peak list
Compound: Ho4Tm2Th
Radiation: copper Kα
Structure: a cell relaxed with PBE
Intensities are scaled so that the largest is 100.

Main lines, sorted by position (2θ = 10–80°):
| 2θ (°) | intensity |
| --- | --- |
| 29.0 | 38 |
| 31.6 | 51 |
| 32.7 | 100 |
| 33.4 | 93 |
| 51.2 | 40 |
| 56.5 | 21 |
| 57.9 | 19 |
| 61.5 | 47 |

Atomic structure:
abc: 3.565 3.565 19.927
angles: 95.16 95.16 60.02
Fractional positions:
Ho: 0.000 0.000 0.000
Ho: 0.427 0.427 0.284
Ho: 0.520 0.520 0.565
Ho: 0.902 0.902 0.708
Tm: 0.714 0.714 0.142
Tm: 0.807 0.807 0.424
Th: 0.618 0.618 0.854


# 4
Theoretical XRD peak list
Compound: TlAgF
Radiation: copper Kα
Structure: a cell relaxed with PBE
Intensities are scaled so that the largest is 100.

Main lines, sorted by position (2θ = 10–80°):
| 2θ (°) | intensity |
| --- | --- |
| 23.7 | 39 |
| 25.4 | 100 |
| 26.6 | 35 |
| 26.9 | 60 |
| 27.9 | 68 |
| 35.2 | 62 |
| 42.3 | 80 |
| 45.6 | 35 |

Atomic structure:
abc: 4.283 4.283 10.201
angles: 101.47 101.47 55.44
Fractional positions:
Tl: 0.000 0.000 0.000
Tl: 0.221 0.221 0.659
Ag: 0.062 0.062 0.291
Ag: 0.425 0.425 0.424
F: 0.297 0.297 0.920
F: 0.930 0.930 0.753


# 5
Theoretical XRD peak list
Compound: Ce2HoEr7
Radiation: copper Kα
Structure: a cell relaxed with PBE
Intensities are scaled so that the largest is 100.

Main lines, sorted by position (2θ = 10–80°):
| 2θ (°) | intensity |
| --- | --- |
| 31.2 | 34 |
| 31.2 | 100 |
| 36.1 | 45 |
| 36.3 | 22 |
| 52.1 | 24 |
| 52.2 | 16 |
| 61.9 | 19 |
| 62.0 | 19 |

Atomic structure:
abc: 6.077 7.007 7.851
angles: 77.02 74.93 73.52
Fractional positions:
Ce: 0.193 0.304 0.101
Ce: 0.807 0.696 0.899
Ho: 0.000 0.500 0.500
Er: 0.000 0.000 0.500
Er: 0.201 0.799 0.098
Er: 0.399 0.600 0.704
Er: 0.401 0.099 0.701
Er: 0.599 0.901 0.299
Er: 0.601 0.400 0.296
Er: 0.799 0.201 0.902


# 6
Theoretical XRD peak list
Compound: Al2CuSi2
Radiation: copper Kα
Structure: a cell relaxed with PBE
Intensities are scaled so that the largest is 100.

Main lines, sorted by position (2θ = 10–80°):
| 2θ (°) | intensity |
| --- | --- |
| 13.1 | 32 |
| 26.4 | 15 |
| 30.4 | 100 |
| 38.3 | 92 |
| 48.2 | 63 |
| 49.1 | 43 |
| 61.9 | 16 |
| 63.2 | 20 |

Atomic structure:
abc: 3.778 3.778 6.749
angles: 90.00 90.00 120.00
Fractional positions:
Al: 0.333 0.667 0.172
Al: 0.667 0.333 0.828
Cu: 0.000 0.000 0.000
Si: 0.333 0.667 0.587
Si: 0.667 0.333 0.413


# 7
Theoretical XRD peak list
Compound: PrCu2Ge
Radiation: copper Kα
Structure: a cell relaxed with PBE
Intensities are scaled so that the largest is 100.

Main lines, sorted by position (2θ = 10–80°):
| 2θ (°) | intensity |
| --- | --- |
| 25.2 | 33 |
| 27.3 | 25 |
| 34.4 | 100 |
| 36.0 | 22 |
| 39.0 | 39 |
| 43.1 | 90 |
| 56.3 | 24 |
| 57.4 | 34 |

Atomic structure:
abc: 5.541 5.541 5.541
angles: 44.51 44.51 44.51
Fractional positions:
Pr: 0.000 0.000 0.000
Cu: 0.204 0.204 0.204
Cu: 0.796 0.796 0.796
Ge: 0.500 0.500 0.500


# 8
Theoretical XRD peak list
Compound: Y6Cu5Au
Radiation: copper Kα
Structure: a cell relaxed with PBE
Intensities are scaled so that the largest is 100.

Main lines, sorted by position (2θ = 10–80°):
| 2θ (°) | intensity |
| --- | --- |
| 22.8 | 5 |
| 36.1 | 51 |
| 36.3 | 100 |
| 52.0 | 17 |
| 52.4 | 8 |
| 65.0 | 34 |
| 65.3 | 17 |
| 77.0 | 10 |

Atomic structure:
abc: 7.870 7.870 6.983
angles: 90.00 90.00 143.18
Fractional positions:
Y: 0.000 0.000 0.246
Y: 0.000 0.000 0.754
Y: 0.332 0.668 0.247
Y: 0.332 0.668 0.753
Y: 0.668 0.332 0.247
Y: 0.668 0.332 0.753
Cu: 0.165 0.835 0.000
Cu: 0.170 0.830 0.500
Cu: 0.500 0.500 0.000
Cu: 0.830 0.170 0.500
Cu: 0.835 0.165 0.000
Au: 0.500 0.500 0.500